(1)
Starting from a crystal structure in Alexandria, relaxed with PBE, the powder diffraction line list of Tm6Ga2PbS3 was calculated for Cu Ka.

Atomic structure:
```
Tm6Ga2PbS3
1.0
9.205 -1.921 0.000
9.205 1.921 0.000
-3.206 0.000 7.777
Tm Ga Pb S
6 2 1 3
direct
0.003 0.003 0.278
0.321 0.321 0.890
0.346 0.346 0.372
0.654 0.654 0.628
0.679 0.679 0.110
0.997 0.997 0.722
0.192 0.192 0.402
0.808 0.808 0.598
0.500 0.500 0.000
0.163 0.163 0.861
0.500 0.500 0.500
0.837 0.837 0.139
```

Main lines, by angle (10° ≤ 2θ ≤ 90°):
| 2θ/deg | I (rel.) |
| --- | --- |
| 28.05 | 24 |
| 28.65 | 12 |
| 31.54 | 50 |
| 31.74 | 100 |
| 32.33 | 13 |
| 33.75 | 15 |
| 40.28 | 17 |
| 42.64 | 39 |
| 43.61 | 12 |
| 47.33 | 20 |
| 47.95 | 25 |
| 57.99 | 18 |

---

(2)
Starting from a crystal structure in Alexandria, relaxed with PBE, the powder diffraction line list of InBi2O5 was calculated for Cu Ka.

Atomic structure:
```
InBi2O5
1.0
5.735 0.000 0.000
-0.264 5.977 0.000
-0.381 -2.950 5.296
In Bi O
1 2 5
direct
0.000 0.000 0.000
0.005 0.637 0.272
0.535 0.212 0.358
0.252 0.326 0.162
0.261 0.891 0.197
0.751 0.289 0.102
0.766 0.887 0.199
0.960 0.708 0.636
```

Main lines, by angle (10° ≤ 2θ ≤ 90°):
| 2θ/deg | I (rel.) |
| --- | --- |
| 16.74 | 100 |
| 22.08 | 42 |
| 23.06 | 31 |
| 23.29 | 36 |
| 24.05 | 52 |
| 29.90 | 31 |
| 31.37 | 28 |
| 31.79 | 28 |
| 32.61 | 31 |
| 34.32 | 43 |
| 34.78 | 21 |
| 42.88 | 20 |

---

(3)
Starting from a crystal structure in Alexandria, relaxed with PBE, the powder diffraction line list of La5TbHo2Th was calculated for Cu Ka.

Atomic structure:
```
La5TbHo2Th
1.0
2.753 -10.875 0.000
2.753 10.875 0.000
0.000 0.000 10.695
La Tb Ho Th
10 2 4 2
direct
0.000 0.000 0.000
0.000 0.000 0.500
0.128 0.872 0.750
0.223 0.777 0.058
0.223 0.777 0.442
0.498 0.502 0.250
0.502 0.498 0.750
0.777 0.223 0.558
0.777 0.223 0.942
0.872 0.128 0.250
0.102 0.898 0.250
0.898 0.102 0.750
0.388 0.612 0.507
0.388 0.612 0.993
0.612 0.388 0.007
0.612 0.388 0.493
0.288 0.712 0.750
0.712 0.288 0.250
```

Main lines, by angle (10° ≤ 2θ ≤ 90°):
| 2θ/deg | I (rel.) |
| --- | --- |
| 11.61 | 9 |
| 26.28 | 14 |
| 30.14 | 14 |
| 31.08 | 100 |
| 32.36 | 15 |
| 32.52 | 31 |
| 33.52 | 20 |
| 47.40 | 15 |
| 47.74 | 10 |
| 57.12 | 18 |
| 58.41 | 10 |
| 60.36 | 9 |

---

(4)
Starting from a crystal structure in Alexandria, relaxed with PBE, the powder diffraction line list of Dy12Ho5Pu was calculated for Cu Ka.

Atomic structure:
```
Dy12Ho5Pu
1.0
3.066 -5.307 0.000
3.066 5.307 0.000
-2.059 0.000 17.130
Dy Ho Pu
12 5 1
direct
0.056 0.722 0.668
0.115 0.444 0.836
0.226 0.226 0.164
0.278 0.944 0.332
0.388 0.388 0.667
0.444 0.115 0.836
0.556 0.885 0.164
0.612 0.612 0.333
0.722 0.056 0.668
0.774 0.774 0.836
0.885 0.556 0.164
0.944 0.278 0.332
0.000 0.000 0.500
0.167 0.833 0.000
0.334 0.666 0.500
0.666 0.334 0.500
0.833 0.167 0.000
0.500 0.500 0.000
```

Main lines, by angle (10° ≤ 2θ ≤ 90°):
| 2θ/deg | I (rel.) |
| --- | --- |
| 29.97 | 26 |
| 30.43 | 82 |
| 31.33 | 88 |
| 31.63 | 38 |
| 32.36 | 100 |
| 34.03 | 33 |
| 34.07 | 65 |
| 35.01 | 30 |
| 37.12 | 44 |
| 51.65 | 66 |
| 61.67 | 77 |
| 87.87 | 35 |